Computed powder X-ray diffraction pattern
Compound: Cs3Rb2H3F2
Radiation: CuKα
Structure: a DFT-relaxed cell (PBE, Alexandria)

Atomic structure:
```
data_Cs3Rb2H3F2
_chemical_formula_sum 'Cs6 Rb4 H6 F4'
_symmetry_space_group_name_H-M 'I 4/m m m'
_symmetry_Int_Tables_number 139
_symmetry_space_group_name_Hall '-I 4 2'
_cell_length_a 4.9067
_cell_length_b 4.9067
_cell_length_c 27.8975
_cell_angle_alpha 90.00
_cell_angle_beta 90.00
_cell_angle_gamma 90.00
loop_
_atom_site_label
_atom_site_fract_x
_atom_site_fract_y
_atom_site_fract_z
Cs1 0.0000 0.0000 0.0000
Cs2 0.0000 0.0000 0.3868
Rb1 0.0000 0.0000 0.2131
H1 0.0000 0.0000 0.1081
H2 0.0000 0.0000 0.5000
F1 0.0000 0.5000 0.2500
```

Principal peaks in the range 10 to 80 degrees two-theta, low angle first:
- 20.5°, I = 13, hkl 1 0 3
- 24.2°, I = 100, hkl 1 0 5
- 25.7°, I = 44, hkl 1 1 0
- 36.6°, I = 31, hkl 2 0 0
- 41.5°, I = 19, hkl 1 1 10
- 44.4°, I = 39, hkl 2 1 5